This entry pairs a crystal structure of AgW3Br7 with its theoretical X-ray diffraction stick pattern. Radiation: a wavelength of 1.5418 Å. Structure: a structure optimized by DFT (PBE).

Main lines, in order of rising 2θ (2θ = 10–90°):
- (1 0 0), 8.585 Å, I = 25
- (0 2 0), 8.008 Å, I = 16
- (0 1 1), 7.675 Å, I = 100
- (1 2 0), 5.856 Å, I = 21
- (2 4 -3), 2.554 Å, I = 7
- (4 1 -1), 2.355 Å, I = 12
- (3 3 -4), 2.214 Å, I = 6
- (4 0 0), 2.146 Å, I = 6
- (3 6 -1), 2.062 Å, I = 5
- (0 3 4), 2.027 Å, I = 7
- (4 3 -4), 2.019 Å, I = 9
- (5 1 -1), 1.859 Å, I = 8

Cell and atoms:
Unit cell a=9.954 b=16.016 c=10.160 alpha=90.00 beta=120.40 gamma=90.00
Space group P2_1/c (No. 14)
Inequivalent atoms, fractional coordinates:
Ag1 0.083 0.213 0.168 [4 per cell]
W1 0.354 0.060 0.829 [4 per cell]
W2 0.367 0.593 0.434 [4 per cell]
W3 0.407 0.038 0.110 [4 per cell]
Br1 0.128 0.005 0.873 [4 per cell]
Br2 0.146 0.141 0.583 [4 per cell]
Br3 0.188 0.728 0.345 [4 per cell]
Br4 0.281 0.088 0.273 [4 per cell]
Br5 0.314 0.571 0.153 [4 per cell]
Br6 0.393 0.191 0.005 [4 per cell]
Br7 0.419 0.614 0.716 [4 per cell]